Starting from DFT lattice parameters and positions (GGA-PBE), the PXRD pattern of TbSm2Er5Mg was simulated for λ = 1.5418 Å (Cu Kα).
Lines closer than 0.1° are merged.

Most intense lines, 5° ≤ 2θ ≤ 70°, low angle first:
2θ/deg	I/Imax	h k l
28.0	18	0 6 1
31.0	39	1 1 3
32.7	100	1 5 2
33.2	33	2 0 0
34.5	15	0 0 4
44.0	11	2 6 1
48.6	12	2 0 4
59.0	22	3 5 2
59.8	11	1 11 3
62.9	11	2 6 5

Cell and atoms:
abc: 5.4036 20.0561 10.4026
angles: 90.00 90.00 90.00
Space group Cmc2_1 (No. 36)
Symmetry-distinct sites (fractional):
Tb1 0.0000 0.2058 0.0000 [4 per cell]
Sm1 0.0000 0.1152 0.2887 [4 per cell]
Sm2 0.0000 0.1154 0.7116 [4 per cell]
Er1 0.0000 0.0130 0.0001 [4 per cell]
Er2 0.0000 0.2886 0.3008 [4 per cell]
Er3 0.0000 0.2897 0.6989 [4 per cell]
Er4 0.0000 0.3833 0.0001 [4 per cell]
Er5 0.0000 0.4994 0.7492 [4 per cell]
Mg1 0.0000 0.4050 0.4980 [4 per cell]

***

Starting from DFT lattice parameters and positions (GGA-PBE), the PXRD pattern of CaPm4Sm15 was simulated for λ = 1.5418 Å (Cu Kα).
Lines closer than 0.1° are merged.

Most intense lines, 5° ≤ 2θ ≤ 70°, low angle first:
2θ/deg	I/Imax	h k l
6.9	1	0 0 2
10.3	1	0 0 3
30.0	100	1 1 5
34.8	51	2 0 0
50.1	36	2 2 0
59.5	43	3 1 5
62.4	12	2 2 10

Cell and atoms:
abc: 5.1532 5.1532 25.7606
angles: 90.00 90.00 90.00
Space group P4/mmm (No. 123)
Symmetry-distinct sites (fractional):
Ca1 0.0000 0.0000 0.0000 [1 per cell]
Pm1 0.0000 0.0000 0.2005 [2 per cell]
Pm2 0.0000 0.0000 0.4004 [2 per cell]
Sm1 0.0000 0.5000 0.1030 [4 per cell]
Sm2 0.0000 0.5000 0.3009 [4 per cell]
Sm3 0.0000 0.5000 0.5000 [2 per cell]
Sm4 0.5000 0.5000 0.0000 [1 per cell]
Sm5 0.5000 0.5000 0.2002 [2 per cell]
Sm6 0.5000 0.5000 0.4000 [2 per cell]

***

Starting from DFT lattice parameters and positions (GGA-PBE), the PXRD pattern of AcThReN4 was simulated for λ = 1.5418 Å (Cu Kα).
Lines closer than 0.1° are merged.

Most intense lines, 5° ≤ 2θ ≤ 70°, low angle first:
2θ/deg	I/Imax	h k l
30.5	100	1 3 1
32.1	27	0 0 2
32.3	26	2 0 0
41.1	11	0 6 0
41.2	8	1 5 1
46.2	23	2 0 2
53.1	17	2 6 0
56.3	19	1 3 3
56.5	19	3 3 1
63.5	14	2 6 2

Cell and atoms:
abc: 5.5442 13.1915 5.5688
angles: 90.00 90.00 90.00
Space group Cmcm (No. 63)
Symmetry-distinct sites (fractional):
Ac1 0.0000 0.1021 0.2500 [4 per cell]
Th1 0.0000 0.3957 0.2500 [4 per cell]
Re1 0.0000 0.2461 0.7500 [4 per cell]
N1 0.0000 0.0876 0.7500 [4 per cell]
N2 0.0000 0.4302 0.7500 [4 per cell]
N3 0.2500 0.2500 0.0000 [8 per cell]

***

Starting from DFT lattice parameters and positions (GGA-PBE), the PXRD pattern of TlH4Au2 was simulated for λ = 1.5418 Å (Cu Kα).
Lines closer than 0.1° are merged.

Most intense lines, 5° ≤ 2θ ≤ 70°, low angle first:
2θ/deg	I/Imax	h k l
27.0	100	1 0 0
30.9	66	0 1 -2
31.6	53	0 1 1
32.9	48	0 2 -1
40.0	18	1 0 -2
40.7	17	1 1 -2
42.2	16	1 -1 2
47.9	17	-1 2 1
48.7	16	1 1 1
51.9	17	2 -1 0

Cell and atoms:
abc: 3.5303 5.6689 5.8092
angles: 117.05 93.14 106.36
Space group P-1 (No. 2)
Symmetry-distinct sites (fractional):
Tl1 0.0000 0.0000 0.0000 [1 per cell]
H1 0.3195 0.6413 0.8236 [2 per cell]
H2 0.3631 0.7241 0.3623 [2 per cell]
Au1 0.1424 0.2863 0.6420 [2 per cell]

***

Starting from DFT lattice parameters and positions (GGA-PBE), the PXRD pattern of InH2F was simulated for λ = 1.5418 Å (Cu Kα).
Lines closer than 0.1° are merged.

Most intense lines, 5° ≤ 2θ ≤ 70°, low angle first:
2θ/deg	I/Imax	h k l
12.5	100	0 0 1
25.2	16	0 0 2
28.4	11	1 0 0
28.6	13	0 1 0
28.7	9	1 1 0
29.4	8	0 1 1
29.8	13	1 1 1
30.9	13	1 0 -1
33.2	11	0 1 -1
35.7	9	1 1 2

Cell and atoms:
abc: 3.6202 3.6382 7.1716
angles: 79.98 86.10 60.38
Space group P1 (No. 1)
Symmetry-distinct sites (fractional):
In1 0.0000 0.0000 0.0000 [1 per cell]
H1 0.6302 0.8731 0.5005 [1 per cell]
H2 0.7782 0.6992 0.5762 [1 per cell]
F1 0.3409 0.2738 0.1687 [1 per cell]

***

Starting from DFT lattice parameters and positions (GGA-PBE), the PXRD pattern of LaHoCd3 was simulated for λ = 1.5418 Å (Cu Kα).
Lines closer than 0.1° are merged.

Most intense lines, 5° ≤ 2θ ≤ 70°, low angle first:
2θ/deg	I/Imax	h k l
32.1	100	1 3 1
32.8	48	1 7 0
34.8	83	0 10 1
35.4	44	0 0 2
47.0	14	1 13 0
49.0	31	1 7 2
51.5	15	2 0 0
61.5	26	1 3 3
63.7	27	2 10 1
64.1	15	2 0 2

Cell and atoms:
abc: 3.5484 29.9816 5.0659
angles: 90.00 90.00 90.00
Space group Cmcm (No. 63)
Symmetry-distinct sites (fractional):
La1 0.0000 0.0757 0.2500 [4 per cell]
Ho1 0.0000 0.2146 0.7500 [4 per cell]
Cd1 0.0000 0.3209 0.7500 [4 per cell]
Cd2 0.0000 0.3755 0.2500 [4 per cell]
Cd3 0.0000 0.4755 0.2500 [4 per cell]

***

Starting from DFT lattice parameters and positions (GGA-PBE), the PXRD pattern of Rb4GaCl7 was simulated for λ = 1.5418 Å (Cu Kα).
Lines closer than 0.1° are merged.

Most intense lines, 5° ≤ 2θ ≤ 70°, low angle first:
2θ/deg	I/Imax	h k l
11.2	39	2 0 -1
19.8	27	2 0 1
23.1	100	1 1 -2
26.5	32	4 0 -3
30.7	92	3 1 1
32.6	60	0 2 0
33.3	46	2 0 -4
34.1	33	5 1 -3
42.5	17	4 2 -3
47.2	29	2 2 -4

Cell and atoms:
abc: 16.1804 5.5006 11.0447
angles: 90.00 122.24 90.00
Space group C2 (No. 5)
Symmetry-distinct sites (fractional):
Rb1 0.0744 0.0000 0.2673 [4 per cell]
Rb2 0.2279 0.0018 0.8283 [4 per cell]
Ga1 0.0000 0.4482 0.5000 [2 per cell]
Cl1 0.0000 0.0329 0.5000 [2 per cell]
Cl2 0.0688 0.5176 0.7418 [4 per cell]
Cl3 0.1395 0.0022 0.0391 [4 per cell]
Cl4 0.1563 0.5074 0.5296 [4 per cell]

***

Starting from DFT lattice parameters and positions (GGA-PBE), the PXRD pattern of ClF was simulated for λ = 1.5418 Å (Cu Kα).
Lines closer than 0.1° are merged.

Most intense lines, 5° ≤ 2θ ≤ 70°, low angle first:
2θ/deg	I/Imax	h k l
21.9	11	0 0 2
25.9	31	1 0 0
28.2	100	1 0 1
42.5	8	1 0 3
44.6	6	0 0 4
45.7	21	1 1 0
52.3	5	1 0 4
54.5	12	2 0 1
63.2	10	1 0 5
65.7	9	1 1 4

Cell and atoms:
abc: 3.9717 3.9717 8.1316
angles: 90.00 90.00 120.00
Space group P6_3mc (No. 186)
Symmetry-distinct sites (fractional):
Cl1 0.3333 0.6667 0.0000 [2 per cell]
F1 0.3333 0.6667 0.7962 [2 per cell]

***

Starting from DFT lattice parameters and positions (GGA-PBE), the PXRD pattern of TaMn2Ni6 was simulated for λ = 1.5418 Å (Cu Kα).
Lines closer than 0.1° are merged.

Most intense lines, 5° ≤ 2θ ≤ 70°, low angle first:
2θ/deg	I/Imax	h k l
20.8	56	1 0 0
26.2	38	0 1 1
38.3	59	1 0 2
39.9	82	1 1 1
45.4	100	0 2 1
48.5	18	0 0 3
49.1	27	1 1 2
53.4	25	1 0 3
53.9	37	2 0 2
67.9	17	3 0 1

Cell and atoms:
abc: 4.9319 4.9319 5.6261
angles: 90.00 90.00 120.00
Space group P-3m1 (No. 164)
Symmetry-distinct sites (fractional):
Ta1 0.0000 0.0000 0.0000 [1 per cell]
Mn1 0.3333 0.6667 0.8777 [2 per cell]
Ni1 0.1752 0.3505 0.3305 [6 per cell]

***

Starting from DFT lattice parameters and positions (GGA-PBE), the PXRD pattern of Ba2PuSnO6 was simulated for λ = 1.5418 Å (Cu Kα).
Lines closer than 0.1° are merged.

Most intense lines, 5° ≤ 2θ ≤ 70°, low angle first:
2θ/deg	I/Imax	h k l
20.6	6	0 0 2
23.1	6	1 0 1
29.3	100	1 1 0
41.8	9	0 0 4
41.9	19	2 0 0
51.8	13	1 1 4
51.9	28	2 1 2
60.7	12	2 0 4
60.8	6	2 2 0
68.9	12	3 1 0

Cell and atoms:
abc: 4.3090 4.3090 8.6502
angles: 90.00 90.00 90.00
Space group P4/mmm (No. 123)
Symmetry-distinct sites (fractional):
Ba1 0.0000 0.0000 0.2340 [2 per cell]
Pu1 0.5000 0.5000 0.5000 [1 per cell]
Sn1 0.5000 0.5000 0.0000 [1 per cell]
O1 0.0000 0.5000 0.0000 [2 per cell]
O2 0.0000 0.5000 0.5000 [2 per cell]
O3 0.5000 0.5000 0.2386 [2 per cell]

***

Starting from DFT lattice parameters and positions (GGA-PBE), the PXRD pattern of AcRe2O8 was simulated for λ = 1.5418 Å (Cu Kα).
Lines closer than 0.1° are merged.

Most intense lines, 5° ≤ 2θ ≤ 70°, low angle first:
2θ/deg	I/Imax	h k l
15.2	37	1 1 1
17.6	12	2 0 0
25.0	100	2 2 0
29.4	11	3 1 1
35.7	13	4 0 0
39.0	15	3 3 1
44.1	42	4 2 2
51.4	18	4 4 0
58.0	18	6 2 0
70.0	24	6 4 2

Cell and atoms:
abc: 10.0634 10.0634 10.0634
angles: 90.00 90.00 90.00
Space group Fm-3m (No. 225)
Symmetry-distinct sites (fractional):
Ac1 0.0000 0.0000 0.0000 [4 per cell]
Re1 0.2500 0.2500 0.2500 [8 per cell]
O1 0.1484 0.1484 0.1484 [32 per cell]

***

Starting from DFT lattice parameters and positions (GGA-PBE), the PXRD pattern of K2AgF7 was simulated for λ = 1.5418 Å (Cu Kα).
Lines closer than 0.1° are merged.

Most intense lines, 5° ≤ 2θ ≤ 70°, low angle first:
2θ/deg	I/Imax	h k l
15.0	93	1 1 0
15.6	100	1 1 -1
19.3	67	2 0 -2
23.1	64	1 1 1
24.3	93	1 1 -2
26.3	97	4 0 -2
28.0	97	2 2 -1
38.5	70	1 3 0
39.5	49	2 0 2
42.5	59	2 0 -4

Cell and atoms:
abc: 13.6684 7.2070 9.2214
angles: 90.00 130.84 90.00
Space group C2/c (No. 15)
Symmetry-distinct sites (fractional):
K1 0.1880 0.0509 0.1035 [8 per cell]
Ag1 0.0000 0.3683 0.2500 [4 per cell]
F1 0.0000 0.0740 0.2500 [4 per cell]
F2 0.0921 0.3561 0.1537 [8 per cell]
F3 0.0933 0.3011 0.8147 [8 per cell]
F4 0.1670 0.3580 0.5137 [8 per cell]

***

Starting from DFT lattice parameters and positions (GGA-PBE), the PXRD pattern of NaLiSeO4 was simulated for λ = 1.5418 Å (Cu Kα).
Lines closer than 0.1° are merged.

Most intense lines, 5° ≤ 2θ ≤ 70°, low angle first:
2θ/deg	I/Imax	h k l
20.3	100	1 0 1
23.6	12	1 1 0
33.3	41	1 1 2
38.9	8	1 0 3
39.6	21	2 1 1
48.4	8	2 2 0
52.4	13	1 2 3
59.2	10	2 0 4
60.0	11	3 1 2
64.2	8	3 2 1

Cell and atoms:
abc: 5.3224 5.3224 7.7160
angles: 90.00 90.00 90.00
Space group I-4 (No. 82)
Symmetry-distinct sites (fractional):
Na1 0.0000 0.0000 0.0000 [2 per cell]
Li1 0.0000 0.0000 0.5000 [2 per cell]
Se1 0.0000 0.5000 0.7500 [2 per cell]
O1 0.1551 0.2913 0.6275 [8 per cell]